This entry pairs a crystal structure of BeNF3 with its computed powder diffraction line list. Radiation: Cu Kα. Structure: a crystal structure in the Materials Project, relaxed with PBE.
Kinematic intensities with the Lorentz-polarization factor, no thermal factor.

Structural model:
a b c (Å): 4.713 5.749 12.654
angles (deg): 90.13 90.19 101.36
Fractional coordinates of all 20 atoms:
Be: 0.000 0.000 0.000
Be: 0.189 0.601 0.500
Be: 0.501 0.001 0.115
Be: 0.691 0.603 0.614
N: 0.205 0.109 0.693
N: 0.482 0.493 0.921
N: 0.712 0.112 0.421
N: 0.981 0.492 0.193
F: 0.064 0.843 0.922
F: 0.123 0.758 0.422
F: 0.209 0.074 0.095
F: 0.210 0.363 0.910
F: 0.476 0.240 0.705
F: 0.482 0.529 0.520
F: 0.567 0.843 0.192
F: 0.626 0.760 0.692
F: 0.709 0.074 0.020
F: 0.710 0.362 0.205
F: 0.982 0.528 0.595
F: 0.985 0.239 0.410

Main lines, in order of rising 2θ (10° ≤ 2θ ≤ 90°):
Position (°2θ)	I_rel
14.00	40.1
17.22	66.6
23.44	53.3
23.85	48.1
26.40	100.0
28.21	60.8
30.84	38.2
36.78	92.9

This entry pairs a crystal structure of NaBe2N3F8 with its computed powder diffraction line list. Radiation: Cu Kα. Structure: a crystal structure in the Materials Project, relaxed with PBE.
Kinematic intensities with the Lorentz-polarization factor, no thermal factor.

Structural model:
a b c (Å): 5.655 5.655 7.355
angles (deg): 90.00 90.00 120.00
Fractional coordinates of all 14 atoms:
Na: 0.000 0.000 0.000
Be: 0.333 0.667 0.801
Be: 0.667 0.333 0.199
N: 0.000 0.000 0.500
N: 0.333 0.667 0.221
N: 0.667 0.333 0.779
F: 0.184 0.367 0.802
F: 0.184 0.816 0.802
F: 0.333 0.667 0.398
F: 0.367 0.184 0.198
F: 0.633 0.816 0.802
F: 0.667 0.333 0.602
F: 0.816 0.184 0.198
F: 0.816 0.633 0.198

Main lines, in order of rising 2θ (10° ≤ 2θ ≤ 90°):
Position (°2θ)	I_rel
24.20	28.8
30.40	71.9
31.65	39.9
36.68	24.7
38.76	100.0
44.45	38.9
63.23	21.8
66.10	21.1

This entry pairs a crystal structure of TmBeNF6 with its computed powder diffraction line list. Radiation: Cu Kα. Structure: a crystal structure in the Materials Project, relaxed with PBE.
Kinematic intensities with the Lorentz-polarization factor, no thermal factor.

Structural model:
a b c (Å): 6.511 5.850 7.331
angles (deg): 90.00 112.92 90.00
Fractional coordinates of all 18 atoms:
Tm: 0.131 0.250 0.218
Tm: 0.869 0.750 0.782
Be: 0.280 0.750 0.545
Be: 0.720 0.250 0.455
N: 0.296 0.250 0.853
N: 0.704 0.750 0.147
F: 0.091 0.750 0.626
F: 0.146 0.043 0.950
F: 0.146 0.457 0.950
F: 0.256 0.536 0.409
F: 0.256 0.964 0.409
F: 0.488 0.250 0.277
F: 0.512 0.750 0.723
F: 0.744 0.036 0.591
F: 0.744 0.464 0.591
F: 0.854 0.543 0.050
F: 0.854 0.957 0.050
F: 0.909 0.250 0.374

Main lines, in order of rising 2θ (10° ≤ 2θ ≤ 90°):
Position (°2θ)	I_rel
14.77	50.7
15.48	62.0
20.08	100.0
21.22	38.5
27.96	38.1
29.11	29.2
40.82	22.3
48.57	24.9

This entry pairs a crystal structure of Na3Be3Pb2F13 with its computed powder diffraction line list. Radiation: Cu Kα. Structure: a crystal structure in the Materials Project, relaxed with PBE.
Kinematic intensities with the Lorentz-polarization factor, no thermal factor.

Structural model:
a b c (Å): 9.557 7.150 9.647
angles (deg): 90.00 119.55 90.00
Fractional coordinates of all 42 atoms:
Na: 0.160 0.000 0.323
Na: 0.162 0.487 0.323
Na: 0.241 0.252 0.997
Na: 0.759 0.752 0.003
Na: 0.838 0.987 0.677
Na: 0.840 0.500 0.677
Be: 0.093 0.244 0.625
Be: 0.126 0.746 0.030
Be: 0.473 0.744 0.595
Be: 0.527 0.244 0.405
Be: 0.874 0.246 0.970
Be: 0.907 0.744 0.375
Pb: 0.249 0.747 0.764
Pb: 0.492 0.245 0.760
Pb: 0.508 0.745 0.240
Pb: 0.751 0.247 0.236
F: 0.014 0.747 0.846
F: 0.033 0.741 0.123
F: 0.094 0.740 0.463
F: 0.154 0.418 0.738
F: 0.158 0.245 0.505
F: 0.162 0.071 0.741
F: 0.243 0.921 0.083
F: 0.245 0.572 0.078
F: 0.344 0.246 0.338
F: 0.374 0.741 0.409
F: 0.411 0.916 0.652
F: 0.419 0.569 0.659
F: 0.490 0.306 0.007
F: 0.510 0.806 0.993
F: 0.581 0.069 0.341
F: 0.589 0.416 0.348
F: 0.626 0.241 0.591
F: 0.656 0.746 0.662
F: 0.755 0.072 0.922
F: 0.757 0.421 0.917
F: 0.838 0.571 0.259
F: 0.842 0.745 0.495
F: 0.846 0.918 0.262
F: 0.906 0.240 0.537
F: 0.967 0.241 0.877
F: 0.986 0.247 0.154

Main lines, in order of rising 2θ (10° ≤ 2θ ≤ 90°):
Position (°2θ)	I_rel
10.66	56.0
16.36	89.6
21.17	55.0
22.38	76.5
24.91	57.9
30.88	44.2
30.99	100.0
31.17	57.1

Copy entry 4 word for word.
This entry pairs a crystal structure of Na3Be3Pb2F13 with its computed powder diffraction line list. Radiation: Cu Kα. Structure: a crystal structure in the Materials Project, relaxed with PBE.
Kinematic intensities with the Lorentz-polarization factor, no thermal factor.

Structural model:
a b c (Å): 9.557 7.150 9.647
angles (deg): 90.00 119.55 90.00
Fractional coordinates of all 42 atoms:
Na: 0.160 0.000 0.323
Na: 0.162 0.487 0.323
Na: 0.241 0.252 0.997
Na: 0.759 0.752 0.003
Na: 0.838 0.987 0.677
Na: 0.840 0.500 0.677
Be: 0.093 0.244 0.625
Be: 0.126 0.746 0.030
Be: 0.473 0.744 0.595
Be: 0.527 0.244 0.405
Be: 0.874 0.246 0.970
Be: 0.907 0.744 0.375
Pb: 0.249 0.747 0.764
Pb: 0.492 0.245 0.760
Pb: 0.508 0.745 0.240
Pb: 0.751 0.247 0.236
F: 0.014 0.747 0.846
F: 0.033 0.741 0.123
F: 0.094 0.740 0.463
F: 0.154 0.418 0.738
F: 0.158 0.245 0.505
F: 0.162 0.071 0.741
F: 0.243 0.921 0.083
F: 0.245 0.572 0.078
F: 0.344 0.246 0.338
F: 0.374 0.741 0.409
F: 0.411 0.916 0.652
F: 0.419 0.569 0.659
F: 0.490 0.306 0.007
F: 0.510 0.806 0.993
F: 0.581 0.069 0.341
F: 0.589 0.416 0.348
F: 0.626 0.241 0.591
F: 0.656 0.746 0.662
F: 0.755 0.072 0.922
F: 0.757 0.421 0.917
F: 0.838 0.571 0.259
F: 0.842 0.745 0.495
F: 0.846 0.918 0.262
F: 0.906 0.240 0.537
F: 0.967 0.241 0.877
F: 0.986 0.247 0.154

Main lines, in order of rising 2θ (10° ≤ 2θ ≤ 90°):
Position (°2θ)	I_rel
10.66	56.0
16.36	89.6
21.17	55.0
22.38	76.5
24.91	57.9
30.88	44.2
30.99	100.0
31.17	57.1

Which formula does entry 3 have?
TmBeNF6